LaHfBeIr2: calculated powder X-ray diffraction pattern (Cu Ka), based on a DFT-relaxed cell (PBE, Alexandria).

Principal peaks in the range 10° ≤ 2θ ≤ 90°, by angle:
- 2θ 23.24, 3.828 Å, intensity 70.8
- 2θ 31.32, 2.856 Å, intensity 37.4
- 2θ 31.48, 2.842 Å, intensity 100.0
- 2θ 34.79, 2.579 Å, intensity 69.2
- 2θ 43.76, 2.069 Å, intensity 46.2
- 2θ 43.88, 2.063 Å, intensity 68.8
- 2θ 44.89, 2.019 Å, intensity 61.5
- 2θ 55.85, 1.646 Å, intensity 40.0
- 2θ 64.58, 1.443 Å, intensity 44.0
- 2θ 65.36, 1.428 Å, intensity 20.2
- 2θ 79.61, 1.204 Å, intensity 20.2
- 2θ 82.04, 1.175 Å, intensity 26.9

Structural model:
a b c (Å): 6.646 6.646 6.646
angles (deg): 144.62 144.62 50.89
Element x y z (fractional)
La1 0.000 0.000 0.000
Hf1 0.750 0.250 0.500
Be1 0.250 0.750 0.500
Ir1 0.385 0.385 0.000
Ir2 0.615 0.615 0.000



KMg2Tl8: calculated powder X-ray diffraction pattern (Cu Ka), based on a DFT-relaxed cell (PBE, Alexandria).

Principal peaks in the range 10° ≤ 2θ ≤ 90°, by angle:
- 2θ 16.09, 5.509 Å, intensity 10.4
- 2θ 17.73, 5.002 Å, intensity 11.1
- 2θ 22.83, 3.896 Å, intensity 25.4
- 2θ 32.16, 2.783 Å, intensity 100.0
- 2θ 32.50, 2.755 Å, intensity 61.0
- 2θ 37.99, 2.369 Å, intensity 27.3
- 2θ 46.63, 1.948 Å, intensity 22.7
- 2θ 57.12, 1.613 Å, intensity 9.3
- 2θ 57.77, 1.596 Å, intensity 38.5
- 2θ 61.65, 1.504 Å, intensity 13.7
- 2θ 64.25, 1.450 Å, intensity 13.0
- 2θ 77.48, 1.232 Å, intensity 10.3

Structural model:
a b c (Å): 5.509 5.509 11.934
angles (deg): 90.00 90.00 90.00
Element x y z (fractional)
K1 0.000 0.000 0.000
Mg1 0.000 0.000 0.354
Mg2 0.000 0.000 0.646
Tl1 0.000 0.500 0.201
Tl2 0.000 0.500 0.500
Tl3 0.000 0.500 0.799
Tl4 0.500 0.000 0.201
Tl5 0.500 0.000 0.500
Tl6 0.500 0.000 0.799
Tl7 0.500 0.500 0.350
Tl8 0.500 0.500 0.650